[1]
# SrFeCl5
Calculated powder diffractogram, Cu Kα (weighted mean of Kα1 and Kα2). Input: a PBE-relaxed structure.
Lines closer than 0.1° are merged.

Atomic structure:
a b c (Å): 10.898 10.052 10.628
angles (deg): 90.00 120.10 90.00
Space group C2/c (No. 15)
Unique sites:
Sr1 0.000 0.000 0.000 (multiplicity 4)
Fe1 0.000 0.408 0.250 (multiplicity 4)
Cl1 0.000 0.086 0.750 (multiplicity 4)
Cl2 0.033 0.286 0.438 (multiplicity 8)
Cl3 0.185 0.460 0.820 (multiplicity 8)

Peak list (10 most intense, 2θ = 10–80°, in order of rising 2θ)
| 2θ (°) | intensity |
| --- | --- |
| 12.9 | 19 |
| 17.6 | 35 |
| 18.8 | 78 |
| 18.9 | 100 |
| 24.1 | 30 |
| 28.3 | 22 |
| 29.8 | 17 |
| 31.6 | 24 |
| 33.7 | 19 |
| 38.3 | 24 |

***

[2]
# SrFe2Cl
Calculated powder diffractogram, Cu Kα (weighted mean of Kα1 and Kα2). Input: a PBE-relaxed structure.
Lines closer than 0.1° are merged.

Atomic structure:
a b c (Å): 3.806 3.852 11.470
angles (deg): 90.00 90.00 90.00
Space group Immm (No. 71)
Unique sites:
Sr1 0.000 0.000 0.000 (multiplicity 2)
Fe1 0.000 0.000 0.275 (multiplicity 4)
Cl1 0.000 0.000 0.500 (multiplicity 2)

Peak list (10 most intense, 2θ = 10–80°, in order of rising 2θ)
| 2θ (°) | intensity |
| --- | --- |
| 31.2 | 40 |
| 33.1 | 100 |
| 33.2 | 16 |
| 46.1 | 52 |
| 47.2 | 15 |
| 47.8 | 14 |
| 57.7 | 13 |
| 58.2 | 12 |
| 69.4 | 9 |
| 78.1 | 10 |